No. 1
Starting from the GGA-PBE geometry in Alexandria, the powder XRD pattern of Nd2SnGe2Rh5 was calculated for copper Kα.
No peak broadening, texture or thermal motion is included.

Top 6 peaks for 10 to 90 degrees two-theta, low angle first:
2θ 31.6, rel. 27.1, hkl 2 1 1
2θ 35.3, rel. 29.1, hkl 2 2 1
2θ 37.1, rel. 51.6, hkl 4 1 0
2θ 37.6, rel. 100.0, hkl 3 1 1
2θ 40.9, rel. 37.7, hkl 3 2 1
2θ 49.8, rel. 23.3, hkl 0 0 2

Cell and atoms:
abc: 9.982 9.982 3.660
angles: 90.00 90.00 90.00
Space group P4/mbm (No. 127)
Unique sites:
Nd: 0.176 0.324 0.000 (multiplicity 4)
Sn: 0.000 0.000 0.000 (multiplicity 2)
Ge: 0.121 0.621 0.000 (multiplicity 4)
Rh: 0.000 0.500 0.500 (multiplicity 2)
Rh: 0.068 0.786 0.500 (multiplicity 8)


No. 2
Starting from the GGA-PBE geometry in Alexandria, the powder XRD pattern of NdZn2GeRh2 was calculated for copper Kα.
No peak broadening, texture or thermal motion is included.

Top 6 peaks for 10 to 90 degrees two-theta, low angle first:
2θ 15.5, rel. 28.3, hkl 0 0 1
2θ 31.7, rel. 92.7, hkl 1 1 1
2θ 37.1, rel. 93.1, hkl 1 0 2
2θ 39.3, rel. 100.0, hkl 2 0 0
2θ 55.1, rel. 57.8, hkl 2 1 2
2θ 56.8, rel. 33.4, hkl 2 2 0

Cell and atoms:
abc: 4.587 4.587 5.712
angles: 90.00 90.00 90.00
Space group P4/mmm (No. 123)
Unique sites:
Nd: 0.000 0.000 0.000 (multiplicity 1)
Zn: 0.500 0.500 0.238 (multiplicity 2)
Ge: 0.000 0.000 0.500 (multiplicity 1)
Rh: 0.000 0.500 0.500 (multiplicity 2)


No. 3
Starting from the GGA-PBE geometry in Alexandria, the powder XRD pattern of NdZrGe2Rh5 was calculated for copper Kα.
No peak broadening, texture or thermal motion is included.

Top 6 peaks for 10 to 90 degrees two-theta, low angle first:
2θ 23.6, rel. 45.0, hkl 0 0 3
2θ 27.3, rel. 32.9, hkl 1 0 2
2θ 32.6, rel. 49.6, hkl 1 1 1
2θ 35.5, rel. 38.6, hkl 1 1 2
2θ 45.3, rel. 100.0, hkl 2 0 0
2θ 51.7, rel. 37.1, hkl 2 0 3

Cell and atoms:
abc: 3.998 3.998 11.327
angles: 90.00 90.00 90.00
Space group P4/mmm (No. 123)
Unique sites:
Nd: 0.000 0.000 0.000 (multiplicity 1)
Zr: 0.000 0.000 0.500 (multiplicity 1)
Ge: 0.500 0.500 0.212 (multiplicity 2)
Rh: 0.000 0.500 0.336 (multiplicity 4)
Rh: 0.500 0.500 0.000 (multiplicity 1)


No. 4
Starting from the GGA-PBE geometry in Alexandria, the powder XRD pattern of Nd4Ge6Ru7 was calculated for copper Kα.
No peak broadening, texture or thermal motion is included.

Top 6 peaks for 10 to 90 degrees two-theta, low angle first:
2θ 29.6, rel. 26.5, hkl 2 2 0
2θ 36.5, rel. 100.0, hkl 2 2 2
2θ 39.6, rel. 22.4, hkl 3 2 1
2θ 42.4, rel. 63.8, hkl 4 0 0
2θ 61.5, rel. 32.5, hkl 4 4 0
2θ 73.7, rel. 26.0, hkl 6 2 2

Cell and atoms:
abc: 8.525 8.525 8.525
angles: 90.00 90.00 90.00
Space group Im-3m (No. 229)
Unique sites:
Nd: 0.250 0.250 0.250 (multiplicity 8)
Ge: 0.000 0.000 0.322 (multiplicity 12)
Ru: 0.000 0.000 0.000 (multiplicity 2)
Ru: 0.000 0.250 0.500 (multiplicity 12)


No. 5
Starting from the GGA-PBE geometry in Alexandria, the powder XRD pattern of Nd2GeRu2 was calculated for copper Kα.
No peak broadening, texture or thermal motion is included.

Top 6 peaks for 10 to 90 degrees two-theta, low angle first:
2θ 31.5, rel. 58.8, hkl 3 1 -1
2θ 33.3, rel. 58.0, hkl 2 0 2
2θ 33.7, rel. 65.5, hkl 0 2 1
2θ 37.1, rel. 100.0, hkl 4 0 0
2θ 37.7, rel. 75.1, hkl 1 1 -3
2θ 40.0, rel. 63.4, hkl 2 2 1

Cell and atoms:
abc: 9.990 5.680 7.880
angles: 90.00 104.25 90.00
Space group C2/c (No. 15)
Unique sites:
Nd: 0.144 0.151 0.144 (multiplicity 8)
Ge: 0.000 0.390 0.750 (multiplicity 4)
Ru: 0.139 0.350 0.511 (multiplicity 8)


No. 6
Starting from the GGA-PBE geometry in Alexandria, the powder XRD pattern of Nd3GeS2 was calculated for copper Kα.
No peak broadening, texture or thermal motion is included.

Top 6 peaks for 10 to 90 degrees two-theta, low angle first:
2θ 26.2, rel. 24.4, hkl 1 1 0
2θ 26.3, rel. 24.1, hkl 0 1 3
2θ 30.4, rel. 100.0, hkl 1 0 3
2θ 43.5, rel. 49.0, hkl 1 2 3
2θ 51.6, rel. 16.1, hkl 1 3 0
2θ 53.8, rel. 13.2, hkl 2 2 0

Cell and atoms:
abc: 4.183 5.873 12.439
angles: 90.00 90.00 90.00
Space group Immm (No. 71)
Unique sites:
Nd: 0.000 0.000 0.000 (multiplicity 2)
Nd: 0.000 0.000 0.332 (multiplicity 4)
Ge: 0.000 0.500 0.000 (multiplicity 2)
S: 0.000 0.500 0.335 (multiplicity 4)